Simulated powder X-ray diffraction pattern of K3Co for Cu Kα, 1.54184 Å, from a DFT-relaxed cell (GGA-PBE, the Materials Project).

Largest 10 diffraction maxima, in order of rising 2θ, 2θ from 15° to 90°:
- 27.1 deg, I = 1000
- 30.2 deg, I = 371
- 33.7 deg, I = 137
- 43.3 deg, I = 127
- 45.9 deg, I = 210
- 51.9 deg, I = 282
- 55.9 deg, I = 109
- 56.3 deg, I = 107
- 73.6 deg, I = 89
- 81.3 deg, I = 66

Crystal structure
Cell lengths 5.909, 5.909, 10.652 Å; angles 90.00, 90.00, 90.00 degrees
Space group I4/mmm (No. 139)
Symmetry-distinct sites (fractional):
K (0.000, 0.000, 0.000) [2 per cell]
K (0.000, 0.500, 0.250) [4 per cell]
Co (0.000, 0.000, 0.500) [2 per cell]